No. 1
Simulated powder XRD pattern of ErMg12 for Cu Ka, from a crystal structure in Alexandria, relaxed with GGA-PBE.
Kinematic intensities with the Lorentz-polarization factor, no thermal factor.

Largest 8 diffraction maxima, low angle first, 2θ from 10° to 90°:
d = 7.198 Å, I = 45; d = 5.142 Å, I = 38; d = 3.617 Å, I = 52; d = 3.219 Å, I = 22; d = 2.948 Å, I = 42; d = 2.571 Å, I = 45; d = 2.549 Å, I = 100; d = 1.624 Å, I = 18

Crystal structure
```
data_ErMg12
_space_group_name_H-M_alt 'P 1'
_space_group_IT_number 1
_cell_length_a 7.790
_cell_length_b 7.790
_cell_length_c 7.790
_cell_angle_alpha 98.41
_cell_angle_beta 98.41
_cell_angle_gamma 135.04
loop_
_space_group_symop_operation_xyz
'x,y,z'
loop_
_atom_site_label
_atom_site_type_symbol
_atom_site_fract_x
_atom_site_fract_y
_atom_site_fract_z
_atom_site_occupancy
Er1 Er 0.000 0.000 0.000 1
Mg1 Mg 0.000 0.000 0.500 1
Mg2 Mg 0.000 0.349 0.349 1
Mg3 Mg 0.000 0.500 0.000 1
Mg4 Mg 0.000 0.651 0.651 1
Mg5 Mg 0.289 0.500 0.789 1
Mg6 Mg 0.349 0.000 0.349 1
Mg7 Mg 0.500 0.000 0.000 1
Mg8 Mg 0.500 0.289 0.789 1
Mg9 Mg 0.500 0.500 0.500 1
Mg10 Mg 0.500 0.711 0.211 1
Mg11 Mg 0.651 0.000 0.651 1
Mg12 Mg 0.711 0.500 0.211 1
```



No. 2
Simulated powder XRD pattern of Pm3NdSm6Tm2 for Cu Ka, from a crystal structure in Alexandria, relaxed with GGA-PBE.
Kinematic intensities with the Lorentz-polarization factor, no thermal factor.

Largest 8 diffraction maxima, low angle first, 2θ from 10° to 90°:
d = 2.951 Å, I = 100; d = 2.556 Å, I = 51; d = 1.807 Å, I = 36; d = 1.541 Å, I = 43; d = 1.476 Å, I = 12; d = 1.278 Å, I = 6; d = 1.173 Å, I = 13; d = 1.143 Å, I = 16

Crystal structure
```
data_Pm3NdSm6Tm2
_space_group_name_H-M_alt 'P 1'
_space_group_IT_number 1
_cell_length_a 6.261
_cell_length_b 6.261
_cell_length_c 11.986
_cell_angle_alpha 94.99
_cell_angle_beta 94.99
_cell_angle_gamma 119.98
loop_
_space_group_symop_operation_xyz
'x,y,z'
loop_
_atom_site_label
_atom_site_type_symbol
_atom_site_fract_x
_atom_site_fract_y
_atom_site_fract_z
_atom_site_occupancy
Pm1 Pm 0.000 0.000 0.000 1
Pm2 Pm 0.333 0.667 0.000 1
Pm3 Pm 0.667 0.333 0.000 1
Nd1 Nd 0.500 0.500 0.500 1
Sm1 Sm 0.083 0.417 0.253 1
Sm2 Sm 0.248 0.248 0.747 1
Sm3 Sm 0.417 0.083 0.253 1
Sm4 Sm 0.583 0.917 0.747 1
Sm5 Sm 0.752 0.752 0.253 1
Sm6 Sm 0.917 0.583 0.747 1
Tm1 Tm 0.167 0.833 0.500 1
Tm2 Tm 0.833 0.167 0.500 1
```